This entry pairs a crystal structure of NdTm3Sc4 with its computed powder X-ray diffraction pattern. Radiation: λ = 1.5418 Å (Cu Kα). Structure: a PBE-relaxed structure.
Peak positions follow from Bragg's law for the DFT cell and can differ from measured ones.

The 10 most intense peaks (10° ≤ 2θ ≤ 90°), in order of rising 2θ:
index  2theta  I (rel.)
0 1 0  12.76  28.4
2 1 1  25.69  28.3
0 2 1  29.77  14.9
4 0 0  33.27  24.2
2 2 1  34.23  100.0
4 0 2  45.27  17.9
0 4 0  52.81  10.9
0 2 3  52.97  12.4
6 2 1  60.07  19.2
4 2 3  64.00  14.0

Structural model:
Unit cell a=10.7725 b=6.9385 c=5.9812 alpha=90.00 beta=90.00 gamma=90.00
Space group Pmn2_1 (No. 31)
Asymmetric unit:
Nd 0.0000 0.1336 0.0000 [2 per cell]
Tm 0.0000 0.8666 0.4978 [2 per cell]
Tm 0.2493 0.8659 0.8430 [4 per cell]
Sc 0.0000 0.3842 0.5073 [2 per cell]
Sc 0.0000 0.6170 0.0068 [2 per cell]
Sc 0.2473 0.6170 0.3357 [4 per cell]